This entry pairs a crystal structure of Ca2ErHg8 with its computed X-ray powder pattern. Radiation: Cu Ka. Structure: a crystal structure in Alexandria, relaxed with PBE.
No peak broadening, texture or thermal motion is included.

Cell and atoms:
Unit cell a=8.452 b=8.452 c=8.452 alpha=144.41 beta=125.62 gamma=66.70
Atoms (fractional coordinates):
Ca1 0.209 0.209 0.000
Ca2 0.791 0.791 0.000
Er1 0.500 0.500 0.000
Hg1 0.061 0.364 0.696
Hg2 0.200 0.000 0.200
Hg3 0.332 0.636 0.696
Hg4 0.350 0.850 0.500
Hg5 0.650 0.150 0.500
Hg6 0.668 0.364 0.304
Hg7 0.800 0.000 0.800
Hg8 0.939 0.636 0.304

Peak list (10 most intense, 5° ≤ 2θ ≤ 70°, in order of falling intensity)
d = 2.585 Å, I 100
d = 2.727 Å, I 32
d = 2.533 Å, I 21
d = 1.809 Å, I 16
d = 1.365 Å, I 15
d = 1.492 Å, I 15
d = 1.353 Å, I 12
d = 3.669 Å, I 12
d = 2.085 Å, I 10
d = 1.588 Å, I 10